Diffraction record for YHo3Al8. The X-ray powder pattern is computed, not measured: it uses a structure optimized by DFT (PBE) and Cu Ka.
Neutral-atom scattering factors, no anomalous dispersion.

Atomic structure:
```
YHo3Al8
1.0
5.539 0.000 0.000
-2.770 4.797 0.000
0.000 0.000 9.102
Y Ho Al
1 3 8
direct
0.000 0.000 0.000
0.000 0.000 0.365
0.667 0.333 0.500
0.667 0.333 0.864
0.162 0.324 0.682
0.162 0.838 0.682
0.333 0.667 0.432
0.333 0.667 0.932
0.505 0.009 0.183
0.505 0.495 0.183
0.676 0.838 0.682
0.991 0.495 0.183
```

The 6 most intense peaks (5 to 70 degrees two-theta), low angle first:
18.5 deg, I = 41; 20.9 deg, I = 37; 32.3 deg, I = 73; 35.0 deg, I = 100; 38.0 deg, I = 68; 59.4 deg, I = 42

=====

Diffraction record for YHoAlZn. The X-ray powder pattern is computed, not measured: it uses a structure optimized by DFT (PBE) and Cu Ka.
Neutral-atom scattering factors, no anomalous dispersion.

Atomic structure:
```
YHoAlZn
1.0
3.568 0.000 0.000
0.000 3.568 0.000
0.000 0.000 7.223
Y Ho Al Zn
1 1 1 1
direct
0.000 0.000 0.000
0.000 0.000 0.510
0.500 0.500 0.257
0.500 0.500 0.750
```

The 6 most intense peaks (5 to 70 degrees two-theta), low angle first:
12.3 deg, I = 19; 25.0 deg, I = 24; 35.4 deg, I = 100; 35.6 deg, I = 49; 63.3 deg, I = 18; 63.8 deg, I = 35

=====

Diffraction record for Ho3AlZn2. The X-ray powder pattern is computed, not measured: it uses a structure optimized by DFT (PBE) and Cu Ka.
Neutral-atom scattering factors, no anomalous dispersion.

Atomic structure:
```
Ho3AlZn2
1.0
3.548 0.000 0.000
0.000 3.548 0.000
0.000 0.000 10.798
Ho Al Zn
3 1 2
direct
0.000 0.000 0.000
0.000 0.000 0.328
0.000 0.000 0.672
0.500 0.500 0.500
0.500 0.500 0.163
0.500 0.500 0.837
```

The 6 most intense peaks (5 to 70 degrees two-theta), low angle first:
25.1 deg, I = 28; 35.5 deg, I = 100; 35.8 deg, I = 49; 51.5 deg, I = 17; 63.6 deg, I = 18; 64.1 deg, I = 35

=====

Diffraction record for HoAl2Zn. The X-ray powder pattern is computed, not measured: it uses a structure optimized by DFT (PBE) and Cu Ka.
Neutral-atom scattering factors, no anomalous dispersion.

Atomic structure:
```
HoAl2Zn
1.0
4.234 0.000 0.000
0.000 4.234 0.000
0.000 0.000 4.254
Ho Al Zn
1 2 1
direct
0.000 0.000 0.000
0.000 0.500 0.500
0.500 0.000 0.500
0.500 0.500 0.000
```

The 6 most intense peaks (5 to 70 degrees two-theta), low angle first:
20.9 deg, I = 60; 29.8 deg, I = 51; 36.7 deg, I = 100; 42.7 deg, I = 33; 48.0 deg, I = 23; 61.8 deg, I = 21

=====

Diffraction record for HoAl2Zn9. The X-ray powder pattern is computed, not measured: it uses a structure optimized by DFT (PBE) and Cu Ka.
Neutral-atom scattering factors, no anomalous dispersion.

Atomic structure:
```
HoAl2Zn9
1.0
-5.275 5.275 3.512
5.275 -5.275 3.512
5.275 5.275 -3.512
Ho Al Zn
2 4 18
direct
0.375 0.625 0.750
0.625 0.375 0.250
0.000 0.000 0.000
0.000 0.000 0.500
0.000 0.500 0.000
0.500 0.000 0.500
0.125 0.875 0.250
0.127 0.552 0.335
0.127 0.792 0.576
0.208 0.283 0.335
0.208 0.873 0.924
0.283 0.208 0.835
0.283 0.448 0.076
0.448 0.283 0.576
0.448 0.873 0.165
0.552 0.127 0.835
0.552 0.717 0.424
0.717 0.552 0.924
0.717 0.792 0.165
0.792 0.127 0.076
0.792 0.717 0.665
0.873 0.208 0.424
0.873 0.448 0.665
0.875 0.125 0.750
```

The 6 most intense peaks (5 to 70 degrees two-theta), low angle first:
33.2 deg, I = 26; 37.2 deg, I = 100; 38.1 deg, I = 66; 39.4 deg, I = 24; 44.9 deg, I = 30; 68.3 deg, I = 30

=====

Diffraction record for Ho4Al12Zn. The X-ray powder pattern is computed, not measured: it uses a structure optimized by DFT (PBE) and Cu Ka.
Neutral-atom scattering factors, no anomalous dispersion.

Atomic structure:
```
Ho4Al12Zn
1.0
-4.336 4.336 4.336
4.336 -4.336 4.336
4.336 4.336 -4.336
Ho Al Zn
4 12 1
direct
0.000 0.000 0.500
0.000 0.500 0.000
0.500 0.000 0.000
0.500 0.500 0.500
0.000 0.301 0.301
0.000 0.699 0.699
0.250 0.500 0.750
0.250 0.750 0.500
0.301 0.000 0.301
0.301 0.301 0.000
0.500 0.250 0.750
0.500 0.750 0.250
0.699 0.000 0.699
0.699 0.699 0.000
0.750 0.250 0.500
0.750 0.500 0.250
0.000 0.000 0.000
```

The 6 most intense peaks (5 to 70 degrees two-theta), low angle first:
20.5 deg, I = 61; 29.1 deg, I = 100; 35.9 deg, I = 73; 41.7 deg, I = 48; 46.9 deg, I = 34; 51.6 deg, I = 37

=====

Diffraction record for Ho2Al3Zn4. The X-ray powder pattern is computed, not measured: it uses a structure optimized by DFT (PBE) and Cu Ka.
Neutral-atom scattering factors, no anomalous dispersion.

Atomic structure:
```
Ho2Al3Zn4
1.0
2.865 -7.658 0.000
2.865 7.658 0.000
0.000 0.000 7.627
Ho Al Zn
4 6 8
direct
0.105 0.895 0.901
0.395 0.605 0.401
0.605 0.395 0.599
0.895 0.105 0.099
0.000 0.000 0.500
0.017 0.483 0.750
0.483 0.017 0.250
0.500 0.500 0.000
0.517 0.983 0.750
0.983 0.517 0.250
0.173 0.827 0.518
0.185 0.315 0.750
0.315 0.185 0.250
0.327 0.673 0.018
0.673 0.327 0.982
0.685 0.815 0.750
0.815 0.685 0.250
0.827 0.173 0.482
```

The 6 most intense peaks (5 to 70 degrees two-theta), low angle first:
33.2 deg, I = 70; 35.2 deg, I = 100; 35.5 deg, I = 61; 37.3 deg, I = 56; 39.3 deg, I = 42; 39.3 deg, I = 51

=====

Diffraction record for HoAl2Zn10. The X-ray powder pattern is computed, not measured: it uses a structure optimized by DFT (PBE) and Cu Ka.
Neutral-atom scattering factors, no anomalous dispersion.

Atomic structure:
```
HoAl2Zn10
1.0
5.385 0.000 0.000
2.629 6.234 0.000
2.671 -0.004 6.232
Ho Al Zn
1 2 10
direct
0.000 0.000 0.000
0.000 0.000 0.500
0.500 0.000 0.500
0.000 0.500 0.000
0.001 0.354 0.647
0.284 0.217 0.212
0.354 0.645 0.647
0.497 0.217 0.787
0.500 0.500 0.000
0.503 0.783 0.213
0.646 0.355 0.353
0.716 0.783 0.788
0.999 0.646 0.353
```

The 6 most intense peaks (5 to 70 degrees two-theta), low angle first:
33.3 deg, I = 69; 39.1 deg, I = 69; 39.3 deg, I = 69; 40.4 deg, I = 94; 40.7 deg, I = 92; 41.0 deg, I = 100

=====

Diffraction record for Ho7Al2Zn2. The X-ray powder pattern is computed, not measured: it uses a structure optimized by DFT (PBE) and Cu Ka.
Neutral-atom scattering factors, no anomalous dispersion.

Atomic structure:
```
Ho7Al2Zn2
1.0
3.775 -5.423 0.000
3.775 5.423 0.000
0.000 0.000 7.388
Ho Al Zn
7 2 2
direct
0.000 0.000 0.000
0.000 0.500 0.281
0.000 0.500 0.719
0.500 0.000 0.281
0.500 0.000 0.719
0.500 0.500 0.254
0.500 0.500 0.746
0.171 0.171 0.500
0.829 0.829 0.500
0.290 0.710 0.000
0.710 0.290 0.000
```

The 6 most intense peaks (5 to 70 degrees two-theta), low angle first:
26.5 deg, I = 27; 28.1 deg, I = 50; 28.8 deg, I = 100; 33.0 deg, I = 59; 36.8 deg, I = 41; 37.9 deg, I = 85

=====

Diffraction record for Ho3AlZn8. The X-ray powder pattern is computed, not measured: it uses a structure optimized by DFT (PBE) and Cu Ka.
Neutral-atom scattering factors, no anomalous dispersion.

Atomic structure:
```
Ho3AlZn8
1.0
2.708 1.564 8.698
-2.708 1.564 8.698
0.000 -3.127 8.698
Ho Al Zn
3 1 8
direct
0.000 0.000 0.000
0.126 0.126 0.126
0.616 0.616 0.616
0.494 0.494 0.494
0.059 0.562 0.562
0.061 0.061 0.560
0.061 0.560 0.061
0.311 0.311 0.311
0.560 0.061 0.061
0.562 0.059 0.562
0.562 0.562 0.059
0.810 0.810 0.810
```

The 6 most intense peaks (5 to 70 degrees two-theta), low angle first:
33.1 deg, I = 53; 33.5 deg, I = 49; 39.0 deg, I = 56; 39.2 deg, I = 100; 39.5 deg, I = 56; 40.9 deg, I = 41

=====

Diffraction record for HoAlZn11. The X-ray powder pattern is computed, not measured: it uses a structure optimized by DFT (PBE) and Cu Ka.
Neutral-atom scattering factors, no anomalous dispersion.

Atomic structure:
```
HoAlZn11
1.0
2.628 -6.261 0.000
2.628 6.261 0.000
-2.617 0.000 6.264
Ho Al Zn
1 1 11
direct
0.000 0.000 0.000
0.000 0.000 0.500
0.000 0.355 0.353
0.000 0.500 0.000
0.000 0.645 0.647
0.287 0.505 0.785
0.355 0.000 0.353
0.495 0.713 0.215
0.500 0.000 0.000
0.500 0.500 0.500
0.505 0.287 0.785
0.645 0.000 0.647
0.713 0.495 0.215
```

The 6 most intense peaks (5 to 70 degrees two-theta), low angle first:
28.2 deg, I = 24; 34.9 deg, I = 50; 39.9 deg, I = 63; 40.5 deg, I = 100; 40.8 deg, I = 48; 45.0 deg, I = 28

=====

Diffraction record for HoAl3Zn3. The X-ray powder pattern is computed, not measured: it uses a structure optimized by DFT (PBE) and Cu Ka.
Neutral-atom scattering factors, no anomalous dispersion.

Atomic structure:
```
HoAl3Zn3
1.0
3.877 2.238 5.216
-3.877 2.238 5.216
0.000 -4.476 5.216
Ho Al Zn
2 6 6
direct
0.179 0.179 0.179
0.821 0.821 0.821
0.041 0.716 0.368
0.284 0.632 0.959
0.368 0.041 0.716
0.632 0.959 0.284
0.716 0.368 0.041
0.959 0.284 0.632
0.183 0.447 0.724
0.276 0.817 0.553
0.447 0.724 0.183
0.553 0.276 0.817
0.724 0.183 0.447
0.817 0.553 0.276
```

The 6 most intense peaks (5 to 70 degrees two-theta), low angle first:
17.0 deg, I = 100; 28.7 deg, I = 78; 28.9 deg, I = 43; 37.2 deg, I = 41; 40.3 deg, I = 89; 41.7 deg, I = 93